The following is a theoretical powder diffractogram of Tm2Mo4O15. It was derived from a PBE+U-relaxed structure, using Cu Kα X-rays.
Neutral-atom scattering factors, no anomalous dispersion.

Most intense lines, 2θ = 10–90°, by intensity:
(0 2 2), 25.3°, d 3.526, I = 1000
(1 1 1), 19.9°, d 4.459, I = 610
(1 2 -2), 26.5°, d 3.365, I = 441
(1 1 -2), 21.0°, d 4.226, I = 340
(2 0 -2), 28.0°, d 3.185, I = 317
(1 0 -4), 33.8°, d 2.650, I = 316

Crystal structure
```
data_Tm2Mo4O15
_chemical_formula_sum 'Tm4 Mo8 O30'
_cell_length_a 6.859
_cell_length_b 9.636
_cell_length_c 10.700
_cell_angle_alpha 90.00
_cell_angle_beta 104.78
_cell_angle_gamma 90.00
_space_group_name_H-M_alt 'P 1 21/c 1'
_space_group_IT_number 14
loop_
_space_group_symop_operation_xyz
'x,y,z'
'-x,-y,-z'
'-x,y+1/2,-z+1/2'
'x,-y+1/2,z+1/2'
loop_
_atom_site_label
_atom_site_fract_x
_atom_site_fract_y
_atom_site_fract_z
_atom_site_occupancy
Tm1 0.206 0.023 0.275 1
Mo1 0.079 0.743 0.009 1
Mo2 0.384 0.095 0.842 1
O1 0.031 0.126 0.400 1
O2 0.117 0.162 0.101 1
O3 0.124 0.051 0.812 1
O4 0.219 0.651 0.916 1
O5 0.242 0.636 0.619 1
O6 0.384 0.221 0.347 1
O7 0.458 0.027 0.707 1
O8 0.500 0.000 0.000 1
```

---

The following is a theoretical powder diffractogram of VMoO5. It was derived from a PBE+U-relaxed structure, using Cu Kα X-rays.
Neutral-atom scattering factors, no anomalous dispersion.

Most intense lines, 2θ = 10–90°, by intensity:
(1 1 1), 27.0°, d 3.304, I = 1000
(2 0 0), 26.4°, d 3.373, I = 855
(1 3 1), 47.0°, d 1.934, I = 385
(3 1 2), 59.2°, d 1.561, I = 249
(1 0 1), 23.5°, d 3.789, I = 249
(1 1 2), 43.9°, d 2.064, I = 222

Crystal structure
```
data_VMoO5
_chemical_formula_sum 'V2 Mo2 O10'
_cell_length_a 6.746
_cell_length_b 6.746
_cell_length_c 4.580
_cell_angle_alpha 90.00
_cell_angle_beta 90.00
_cell_angle_gamma 90.00
_space_group_name_H-M_alt 'P 4/n'
_space_group_IT_number 85
loop_
_space_group_symop_operation_xyz
'x,y,z'
'-x,-y,-z'
'-y+1/2,x,z'
'y+1/2,-x,-z'
'-x+1/2,-y+1/2,z'
'x+1/2,y+1/2,-z'
'y,-x+1/2,z'
'-y,x+1/2,-z'
loop_
_atom_site_label
_atom_site_fract_x
_atom_site_fract_y
_atom_site_fract_z
_atom_site_occupancy
V1 0.250 0.250 0.168 1
Mo1 0.250 0.750 0.500 1
O1 0.035 0.779 0.727 1
O2 0.250 0.250 0.811 1
```

---

The following is a theoretical powder diffractogram of V2MoO8. It was derived from a PBE+U-relaxed structure, using Cu Kα X-rays.
Neutral-atom scattering factors, no anomalous dispersion.

Most intense lines, 2θ = 10–90°, by intensity:
(0 0 1), 20.7°, d 4.300, I = 1000
(1 1 0), 24.4°, d 3.646, I = 697
(0 4 0), 18.3°, d 4.850, I = 366
(0 6 0), 27.6°, d 3.233, I = 347
(1 1 1), 32.2°, d 2.781, I = 309
(1 5 0), 33.4°, d 2.682, I = 253

Crystal structure
```
data_V2MoO8
_chemical_formula_sum 'V4 Mo2 O16'
_cell_length_a 3.712
_cell_length_b 19.400
_cell_length_c 4.300
_cell_angle_alpha 90.00
_cell_angle_beta 90.00
_cell_angle_gamma 90.00
_space_group_name_H-M_alt 'C m m 2'
_space_group_IT_number 35
loop_
_space_group_symop_operation_xyz
'x,y,z'
'-x,-y,z'
'-x,y,z'
'x,-y,z'
'x+1/2,y+1/2,z'
'-x+1/2,-y+1/2,z'
'-x+1/2,y+1/2,z'
'x+1/2,-y+1/2,z'
loop_
_atom_site_label
_atom_site_fract_x
_atom_site_fract_y
_atom_site_fract_z
_atom_site_occupancy
V1 0.000 0.188 0.000 1
Mo1 0.000 0.000 0.972 1
O1 0.000 0.000 0.372 1
O2 0.000 0.098 0.893 1
O3 0.000 0.185 0.376 1
O4 0.000 0.291 0.918 1
O5 0.000 0.500 0.877 1
```

---

The following is a theoretical powder diffractogram of VZnMoO4. It was derived from a PBE+U-relaxed structure, using Cu Kα X-rays.
Neutral-atom scattering factors, no anomalous dispersion.

Most intense lines, 2θ = 10–90°, by intensity:
(1 2 1), 33.6°, d 2.669, I = 1000
(2 1 1), 34.0°, d 2.639, I = 652
(2 2 4), 59.7°, d 1.549, I = 603
(1 0 3), 34.1°, d 2.628, I = 504
(1 1 2), 28.8°, d 3.098, I = 365
(1 0 5), 54.7°, d 1.678, I = 314

Crystal structure
```
data_VZnMoO4
_chemical_formula_sum 'V4 Zn4 Mo4 O16'
_cell_length_a 6.165
_cell_length_b 6.298
_cell_length_c 8.717
_cell_angle_alpha 90.00
_cell_angle_beta 90.00
_cell_angle_gamma 90.00
_space_group_name_H-M_alt 'I m m a'
_space_group_IT_number 74
_space_group_name_Hall '-I 2b 2'
loop_
_atom_site_label
_atom_site_fract_x
_atom_site_fract_y
_atom_site_fract_z
_atom_site_occupancy
V1 0.250 0.250 0.250 1
Zn1 0.000 0.250 0.626 1
Mo1 0.000 0.000 0.000 1
O1 0.000 0.024 0.247 1
O2 0.239 0.250 0.015 1
```

---

The following is a theoretical powder diffractogram of YMoW2O8. It was derived from a PBE+U-relaxed structure, using Cu Kα X-rays.
Neutral-atom scattering factors, no anomalous dispersion.

Most intense lines, 2θ = 10–90°, by intensity:
(-1 1 1), 29.0°, d 3.084, I = 1000
(0 1 -1), 16.6°, d 5.341, I = 917
(1 -1 1), 27.0°, d 3.304, I = 916
(1 1 -2), 29.2°, d 3.057, I = 787
(1 1 0), 27.4°, d 3.249, I = 754
(2 0 -1), 34.9°, d 2.571, I = 546

Crystal structure
```
data_YMoW2O8
_chemical_formula_sum 'Y1 Mo1 W2 O8'
_cell_length_a 5.163
_cell_length_b 6.181
_cell_length_c 6.479
_cell_angle_alpha 118.38
_cell_angle_beta 108.42
_cell_angle_gamma 91.14
_space_group_name_H-M_alt 'P 1'
_space_group_IT_number 1
loop_
_space_group_symop_operation_xyz
'x,y,z'
loop_
_atom_site_label
_atom_site_fract_x
_atom_site_fract_y
_atom_site_fract_z
_atom_site_occupancy
Y1 0.000 0.000 0.000 1
Mo1 0.435 0.412 0.971 1
W1 0.179 0.728 0.478 1
W2 0.685 0.060 0.478 1
O1 0.083 0.089 0.688 1
O2 0.166 0.677 0.732 1
O3 0.209 0.406 0.208 1
O4 0.291 0.905 0.286 1
O5 0.603 0.889 0.667 1
O6 0.652 0.362 0.713 1
O7 0.743 0.129 0.248 1
O8 0.787 0.703 0.275 1
```

---

The following is a theoretical powder diffractogram of ZrMoWO8. It was derived from a PBE+U-relaxed structure, using Cu Kα X-rays.
Neutral-atom scattering factors, no anomalous dispersion.

Most intense lines, 2θ = 10–90°, by intensity:
(0 1 1), 21.9°, d 4.055, I = 1000
(1 1 0), 29.9°, d 2.984, I = 357
(1 2 1), 48.6°, d 1.872, I = 228
(1 0 2), 32.4°, d 2.763, I = 193
(0 2 2), 44.7°, d 2.028, I = 136
(2 0 1), 37.4°, d 2.403, I = 107

Crystal structure
```
data_ZrMoWO8
_chemical_formula_sum 'Zr1 Mo1 W1 O8'
_cell_length_a 5.9683
_cell_length_b 5.9683
_cell_length_c 6.5397
_cell_angle_alpha 90.00
_cell_angle_beta 90.00
_cell_angle_gamma 120.00
_space_group_name_H-M_alt 'P 3 m 1'
_space_group_IT_number 156
loop_
_space_group_symop_operation_xyz
'x,y,z'
'-y,x-y,z'
'-x+y,-x,z'
'-y,-x,z'
'-x+y,y,z'
'x,x-y,z'
loop_
_atom_site_label
_atom_site_fract_x
_atom_site_fract_y
_atom_site_fract_z
_atom_site_occupancy
Zr1 0.0000 0.0000 0.0000 1
Mo1 0.3333 0.6667 0.2757 1
W1 0.6667 0.3333 0.7197 1
O1 0.1676 0.3352 0.1819 1
O2 0.3325 0.1663 0.8142 1
O3 0.3333 0.6667 0.5399 1
O4 0.6667 0.3333 0.4511 1
```

---

The following is a theoretical powder diffractogram of ZrMoWO8. It was derived from a PBE+U-relaxed structure, using Cu Kα X-rays.
Neutral-atom scattering factors, no anomalous dispersion.

Most intense lines, 2θ = 10–90°, by intensity:
(1 1 3), 23.1°, d 3.857, I = 1000
(3 0 0), 31.1°, d 2.872, I = 266
(2 -1 6), 34.5°, d 2.603, I = 184
(4 1 3), 50.8°, d 1.797, I = 136
(2 2 6), 47.1°, d 1.930, I = 123
(4 0 7), 55.3°, d 1.662, I = 80

Crystal structure
```
data_ZrMoWO8
_chemical_formula_sum 'Zr9 Mo9 W9 O72'
_cell_length_a 9.9488
_cell_length_b 9.9488
_cell_length_c 18.3286
_cell_angle_alpha 90.00
_cell_angle_beta 90.00
_cell_angle_gamma 120.00
_space_group_name_H-M_alt 'R 3'
_space_group_IT_number 146
_space_group_name_Hall 'R 3'
loop_
_atom_site_label
_atom_site_fract_x
_atom_site_fract_y
_atom_site_fract_z
_atom_site_occupancy
Zr1 0.0000 0.0000 0.0000 1
Zr2 0.0000 0.0000 0.2887 1
Zr3 0.0000 0.0000 0.7023 1
Mo1 0.0100 0.3052 0.5619 1
W1 0.0377 0.6692 0.0977 1
O1 0.0082 0.8370 0.3607 1
O2 0.0226 0.8346 0.0606 1
O3 0.0284 0.8397 0.7619 1
O4 0.0410 0.4609 0.1420 1
O5 0.1265 0.7508 0.1839 1
O6 0.1661 0.4937 0.2967 1
O7 0.1681 0.4746 0.8965 1
O8 0.1716 0.4814 0.5982 1
```

---

The following is a theoretical powder diffractogram of Y2Mo3O12. It was derived from a PBE+U-relaxed structure, using Cu Kα X-rays.
Neutral-atom scattering factors, no anomalous dispersion.

Most intense lines, 2θ = 10–90°, by intensity:
(2 0 1), 25.3°, d 3.527, I = 1000
(1 1 2), 23.6°, d 3.762, I = 973
(2 1 0), 26.7°, d 3.340, I = 723
(2 0 2), 29.1°, d 3.064, I = 673
(1 1 1), 18.7°, d 4.738, I = 671
(0 0 3), 24.9°, d 3.574, I = 556

Crystal structure
```
data_Y2Mo3O12
_chemical_formula_sum 'Y4 Mo6 O24'
_cell_length_a 7.469
_cell_length_b 7.469
_cell_length_c 10.723
_cell_angle_alpha 90.00
_cell_angle_beta 90.00
_cell_angle_gamma 90.00
_space_group_name_H-M_alt 'P -4 21 m'
_space_group_IT_number 113
loop_
_space_group_symop_operation_xyz
'x,y,z'
'y,-x,-z'
'-x,-y,z'
'-y,x,-z'
'x+1/2,-y+1/2,-z'
'y+1/2,x+1/2,z'
'-x+1/2,y+1/2,-z'
'-y+1/2,-x+1/2,z'
loop_
_atom_site_label
_atom_site_fract_x
_atom_site_fract_y
_atom_site_fract_z
_atom_site_occupancy
Y1 0.187 0.313 0.237 1
Mo1 0.000 0.000 0.500 1
Mo2 0.207 0.293 0.856 1
O1 0.005 0.775 0.797 1
O2 0.046 0.190 0.403 1
O3 0.126 0.626 0.192 1
O4 0.195 0.305 0.022 1
```